Structure and calculated X-ray diffraction stick pattern of K3Be5 (a crystal structure in Alexandria, relaxed with GGA-PBE; Cu Kα, 1.54184 Å).

Structural model:
abc: 11.1822 11.1822 3.8751
angles: 90.00 90.00 120.00
Space group P6_3/mcm (No. 193)
Unique sites:
K  0.0000  0.3550  0.2500 (multiplicity 6)
Be  0.0000  0.1086  0.7500 (multiplicity 6)
Be  0.3333  0.6667  0.0000 (multiplicity 4)

The 10 most intense peaks (2θ from 5° to 70°), in order of rising 2θ:
- 2θ 15.85, 5.591 Å, intensity 20, (1 1 0)
- 2θ 27.63, 3.228 Å, intensity 83, (3 0 0)
- 2θ 28.02, 3.185 Å, intensity 100, (1 1 1)
- 2θ 33.68, 2.661 Å, intensity 9, (2 1 1)
- 2θ 39.76, 2.267 Å, intensity 40, (2 2 1)
- 2θ 48.87, 1.864 Å, intensity 10, (3 3 0)
- 2θ 49.10, 1.855 Å, intensity 24, (4 1 1)
- 2θ 55.30, 1.661 Å, intensity 12, (3 0 2)
- 2θ 55.53, 1.655 Å, intensity 9, (4 2 1)
- 2θ 64.75, 1.440 Å, intensity 12, (5 2 1)

***

Structure and calculated X-ray diffraction stick pattern of KLa4Be (a crystal structure in Alexandria, relaxed with GGA-PBE; Cu Kα, 1.54184 Å).

Structural model:
abc: 9.5282 9.5282 9.5282
angles: 90.00 90.00 90.00
Space group F-43m (No. 216)
Unique sites:
K  0.0000  0.0000  0.0000 (multiplicity 4)
La  0.1193  0.1193  0.6193 (multiplicity 16)
Be  0.2500  0.2500  0.2500 (multiplicity 4)

The 10 most intense peaks (2θ from 5° to 70°), in order of rising 2θ:
- 2θ 16.11, 5.501 Å, intensity 100, (1 1 1)
- 2θ 31.13, 2.873 Å, intensity 99, (3 1 1)
- 2θ 32.55, 2.751 Å, intensity 94, (2 2 2)
- 2θ 37.77, 2.382 Å, intensity 39, (4 0 0)
- 2θ 41.30, 2.186 Å, intensity 31, (3 3 1)
- 2θ 49.72, 1.834 Å, intensity 38, (5 1 1)
- 2θ 54.48, 1.684 Å, intensity 37, (4 4 0)
- 2θ 57.20, 1.611 Å, intensity 20, (5 3 1)
- 2θ 64.09, 1.453 Å, intensity 11, (5 3 3)
- 2θ 64.92, 1.436 Å, intensity 36, (6 2 2)

***

Structure and calculated X-ray diffraction stick pattern of KLiBeSe2 (a crystal structure in Alexandria, relaxed with GGA-PBE; Cu Kα, 1.54184 Å).

Structural model:
abc: 7.5794 5.7164 6.2482
angles: 90.00 113.61 90.00
Space group P2/c (No. 13)
Unique sites:
K  0.0000  0.2423  0.2500 (multiplicity 2)
Li  0.5000  0.4997  0.2500 (multiplicity 2)
Be  0.5000  0.0000  0.0000 (multiplicity 2)
Se  0.2871  0.2441  0.8963 (multiplicity 4)

The 10 most intense peaks (2θ from 5° to 70°), in order of rising 2θ:
- 2θ 21.97, 4.045 Å, intensity 10, (0 1 1)
- 2θ 22.08, 4.026 Å, intensity 12, (1 1 -1)
- 2θ 28.53, 3.129 Å, intensity 100, (1 0 -2)
- 2θ 28.76, 3.105 Å, intensity 60, (2 1 -1)
- 2θ 31.30, 2.858 Å, intensity 25, (0 2 0)
- 2θ 38.93, 2.313 Å, intensity 11, (3 0 0)
- 2θ 42.89, 2.109 Å, intensity 23, (1 2 -2)
- 2θ 50.42, 1.810 Å, intensity 17, (0 1 3)
- 2θ 50.72, 1.800 Å, intensity 13, (3 2 0)
- 2θ 50.87, 1.795 Å, intensity 15, (3 1 -3)

***

Structure and calculated X-ray diffraction stick pattern of KMgBe2 (a crystal structure in Alexandria, relaxed with GGA-PBE; Cu Kα, 1.54184 Å).

Structural model:
abc: 3.7762 4.1799 14.1175
angles: 83.88 89.56 63.25
Space group P1 (No. 1)
Unique sites:
K  0.0000  0.0000  0.0000 (multiplicity 1)
K  0.3601  0.3143  0.2915 (multiplicity 1)
Mg  0.0960  0.8141  0.5064 (multiplicity 1)
Mg  0.6491  0.6920  0.7844 (multiplicity 1)
Be  0.2795  0.4360  0.6909 (multiplicity 1)
Be  0.4658  0.0687  0.5999 (multiplicity 1)
Be  0.7624  0.4748  0.5994 (multiplicity 1)
Be  0.9825  0.0300  0.6910 (multiplicity 1)

The 10 most intense peaks (2θ from 5° to 70°), in order of rising 2θ:
- 2θ 6.30, 14.022 Å, intensity 49, (0 0 1)
- 2θ 18.99, 4.674 Å, intensity 42, (0 0 3)
- 2θ 25.41, 3.506 Å, intensity 92, (0 0 4)
- 2θ 25.55, 3.486 Å, intensity 62, (0 1 -1)
- 2θ 25.85, 3.446 Å, intensity 49, (0 1 2)
- 2θ 26.92, 3.312 Å, intensity 81, (1 1 1)
- 2θ 28.50, 3.131 Å, intensity 41, (0 1 -2)
- 2θ 28.92, 3.087 Å, intensity 100, (0 1 3)
- 2θ 29.95, 2.984 Å, intensity 52, (1 0 2)
- 2θ 30.16, 2.963 Å, intensity 45, (1 1 -2)

***

Structure and calculated X-ray diffraction stick pattern of K2MgBeP2 (a crystal structure in Alexandria, relaxed with GGA-PBE; Cu Kα, 1.54184 Å).

Structural model:
abc: 5.9618 15.2281 5.9716
angles: 90.00 90.00 90.00
Space group Ibam (No. 72)
Unique sites:
K  0.2499  0.1743  0.0000 (multiplicity 8)
Mg  0.0000  0.0000  0.2500 (multiplicity 4)
Be  0.0000  0.5000  0.2500 (multiplicity 4)
P  0.2172  0.4160  0.0000 (multiplicity 8)

The 10 most intense peaks (2θ from 5° to 70°), in order of rising 2θ:
- 2θ 11.62, 7.614 Å, intensity 6, (0 2 0)
- 2θ 29.95, 2.983 Å, intensity 42, (0 0 2)
- 2θ 31.66, 2.826 Å, intensity 100, (1 4 1)
- 2θ 32.23, 2.778 Å, intensity 14, (2 2 0)
- 2θ 38.33, 2.348 Å, intensity 27, (0 4 2)
- 2θ 42.87, 2.110 Å, intensity 34, (2 0 2)
- 2θ 52.76, 1.735 Å, intensity 13, (1 8 1)
- 2θ 54.26, 1.691 Å, intensity 34, (1 4 3)
- 2θ 57.42, 1.605 Å, intensity 14, (0 8 2)
- 2θ 62.18, 1.493 Å, intensity 6, (0 0 4)

***

Structure and calculated X-ray diffraction stick pattern of KMg2BeV (a crystal structure in Alexandria, relaxed with GGA-PBE; Cu Kα, 1.54184 Å).

Structural model:
abc: 5.6839 5.6839 5.2836
angles: 90.00 90.00 90.00
Space group P4/mmm (No. 123)
Unique sites:
K  0.0000  0.0000  0.0000 (multiplicity 1)
Mg  0.0000  0.5000  0.0000 (multiplicity 2)
Be  0.5000  0.5000  0.5000 (multiplicity 1)
V  0.0000  0.0000  0.5000 (multiplicity 1)

The 10 most intense peaks (2θ from 5° to 70°), in order of rising 2θ:
- 2θ 15.59, 5.684 Å, intensity 100, (1 0 0)
- 2θ 27.89, 3.199 Å, intensity 30, (1 1 1)
- 2θ 31.48, 2.842 Å, intensity 53, (2 0 0)
- 2θ 33.93, 2.642 Å, intensity 21, (0 0 2)
- 2θ 35.31, 2.542 Å, intensity 25, (2 1 0)
- 2θ 37.54, 2.396 Å, intensity 21, (1 0 2)
- 2θ 45.12, 2.010 Å, intensity 18, (2 2 0)
- 2θ 46.96, 1.935 Å, intensity 32, (2 0 2)
- 2θ 49.78, 1.832 Å, intensity 17, (2 1 2)
- 2θ 57.63, 1.599 Å, intensity 16, (2 2 2)